Structure and computed powder diffraction line list of CoSe2O8 (a structure optimized by DFT (PBE+U); CuKα).
Lines closer than 0.1° are merged.

abc: 6.9882 6.8696 7.5914
angles: 90.00 109.24 90.00
Fractional positions:
Co (0.0000, 0.0000, 0.0000)
Co (0.0000, 0.5000, 0.5000)
Se (0.3714, 0.2504, 0.4484)
Se (0.3714, 0.2496, 0.9484)
Se (0.6286, 0.7504, 0.0516)
Se (0.6286, 0.7496, 0.5516)
O (0.0571, 0.2028, 0.2375)
O (0.0571, 0.2972, 0.7375)
O (0.0831, 0.7149, 0.7070)
O (0.0831, 0.7851, 0.2070)
O (0.2834, 0.0391, 0.0146)
O (0.2834, 0.4609, 0.5146)
O (0.3562, 0.0829, 0.5991)
O (0.3562, 0.4171, 0.0991)
O (0.6438, 0.5829, 0.9009)
O (0.6438, 0.9171, 0.4009)
O (0.7166, 0.5391, 0.4854)
O (0.7166, 0.9609, 0.9854)
O (0.9169, 0.2149, 0.7930)
O (0.9169, 0.2851, 0.2930)
O (0.9429, 0.7028, 0.2625)
O (0.9429, 0.7972, 0.7625)

Peak list (6 most intense, 10 to 90 degrees two-theta, sorted by position)
d = 4.960 Å, I = 36, hkl 0 1 1
d = 4.759 Å, I = 100, hkl 1 1 0
d = 3.586 Å, I = 58, hkl 0 0 2
d = 2.974 Å, I = 61, hkl 2 1 0
d = 2.583 Å, I = 27, hkl 1 1 2
d = 2.518 Å, I = 77, hkl 1 2 -2